Record 1
Diffraction record for Ba4LaRu3O12. The powder diffractogram is simulated, not measured: it uses a structure optimized by DFT (PBE) and Cu Kα (weighted mean of Kα1 and Kα2).

Most intense lines, 2θ = 10–90°, by angle:
2θ/deg  I/Imax
26.5  229
27.0  421
29.0  154
29.8  1000
40.3  253
41.0  125
42.4  78
45.2  101
45.8  97
52.9  198
55.6  82
61.9  199

a b c (Å): 5.9970 5.9970 30.3292
angles (deg): 91.18 91.18 60.06
Atoms (fractional coordinates):
Ba (0.0013, 0.0013, 0.3690)
Ba (0.0029, 0.0029, 0.2212)
Ba (0.3310, 0.3310, 0.4459)
Ba (0.3341, 0.3341, 0.0358)
Ba (0.3341, 0.3341, 0.2976)
Ba (0.3378, 0.3378, 0.8870)
Ba (0.6622, 0.6622, 0.1130)
Ba (0.6659, 0.6659, 0.7024)
Ba (0.6659, 0.6659, 0.9642)
Ba (0.6690, 0.6690, 0.5541)
Ba (0.9971, 0.9971, 0.7788)
Ba (0.9987, 0.9987, 0.6310)
La (0.0000, 0.0000, 0.5000)
La (0.3323, 0.3323, 0.1669)
La (0.6677, 0.6677, 0.8331)
Ru (0.0000, 0.0000, 0.0000)
Ru (0.0079, 0.0079, 0.9154)
Ru (0.3270, 0.3270, 0.7511)
Ru (0.3328, 0.3328, 0.6667)
Ru (0.3392, 0.3392, 0.5824)
Ru (0.6608, 0.6608, 0.4176)
Ru (0.6672, 0.6672, 0.3333)
Ru (0.6730, 0.6730, 0.2489)
Ru (0.9921, 0.9921, 0.0846)
O (0.0104, 0.4779, 0.7844)
O (0.0260, 0.4889, 0.6242)
O (0.1383, 0.1383, 0.1249)
O (0.1409, 0.6729, 0.1167)
O (0.1568, 0.1568, 0.9625)
O (0.1595, 0.6936, 0.9571)
O (0.1757, 0.1757, 0.7053)
O (0.1769, 0.6397, 0.7092)
O (0.1881, 0.6557, 0.5490)
O (0.1901, 0.1901, 0.5429)
O (0.3064, 0.8405, 0.0429)
O (0.3271, 0.8591, 0.8833)
O (0.3443, 0.8119, 0.4510)
O (0.3603, 0.8231, 0.2908)
O (0.4762, 0.4762, 0.7910)
O (0.4779, 0.0104, 0.7844)
O (0.4889, 0.0260, 0.6242)
O (0.4903, 0.4903, 0.6282)
O (0.5097, 0.5097, 0.3718)
O (0.5111, 0.9740, 0.3758)
O (0.5221, 0.9896, 0.2156)
O (0.5238, 0.5238, 0.2090)
O (0.6397, 0.1769, 0.7092)
O (0.6557, 0.1881, 0.5490)
O (0.6729, 0.1409, 0.1167)
O (0.6936, 0.1595, 0.9571)
O (0.8099, 0.8099, 0.4571)
O (0.8119, 0.3443, 0.4510)
O (0.8231, 0.3603, 0.2908)
O (0.8243, 0.8243, 0.2947)
O (0.8405, 0.3064, 0.0429)
O (0.8432, 0.8432, 0.0375)
O (0.8591, 0.3271, 0.8833)
O (0.8617, 0.8617, 0.8751)
O (0.9740, 0.5111, 0.3758)
O (0.9896, 0.5221, 0.2156)

Record 2
Diffraction record for Ba4La2SbRuO12. The powder diffractogram is simulated, not measured: it uses a structure optimized by DFT (PBE) and Cu Kα (weighted mean of Kα1 and Kα2).

Most intense lines, 2θ = 10–90°, by angle:
2θ/deg  I/Imax
29.0  994
29.1  1000
29.2  992
41.5  291
41.7  572
51.3  326
51.5  297
51.6  312
51.8  198
60.2  173
60.6  177
68.3  181

a b c (Å): 6.1143 6.1369 10.6168
angles (deg): 90.42 106.48 119.49
Atoms (fractional coordinates):
Ba (0.2461, 0.1276, 0.3709)
Ba (0.2514, 0.6298, 0.8790)
Ba (0.7486, 0.3702, 0.1210)
Ba (0.7539, 0.8724, 0.6291)
La (0.5002, 0.2499, 0.7505)
La (0.4998, 0.7501, 0.2495)
Sb (0.0000, 0.5000, 0.5000)
Ru (0.0000, 0.0000, 0.0000)
O (0.1851, 0.5936, 0.3623)
O (0.1879, 0.0953, 0.8667)
O (0.2279, 0.3575, 0.0976)
O (0.2308, 0.8632, 0.5980)
O (0.2669, 0.9214, 0.1094)
O (0.2722, 0.4225, 0.6112)
O (0.7278, 0.5775, 0.3888)
O (0.7331, 0.0786, 0.8906)
O (0.7692, 0.1368, 0.4020)
O (0.7721, 0.6425, 0.9024)
O (0.8121, 0.9047, 0.1333)
O (0.8149, 0.4064, 0.6377)

Record 3
Diffraction record for BaLa2Sc2O7. The powder diffractogram is simulated, not measured: it uses a structure optimized by DFT (PBE) and Cu Kα (weighted mean of Kα1 and Kα2).

Most intense lines, 2θ = 10–90°, by angle:
2θ/deg  I/Imax
21.8  162
25.7  94
30.4  1000
40.2  168
43.5  282
51.1  51
53.2  77
53.9  324
63.1  128
71.0  61
71.6  94
87.6  88

a b c (Å): 5.8931 5.8931 20.8011
angles (deg): 90.00 90.00 90.00
Atoms (fractional coordinates):
Ba (0.2408, 0.2408, 0.0000)
Ba (0.2592, 0.7408, 0.5000)
Ba (0.7408, 0.2592, 0.5000)
Ba (0.7592, 0.7592, 0.0000)
La (0.2268, 0.2268, 0.1838)
La (0.2268, 0.2268, 0.8162)
La (0.2732, 0.7268, 0.3162)
La (0.2732, 0.7268, 0.6838)
La (0.7268, 0.2732, 0.3162)
La (0.7268, 0.2732, 0.6838)
La (0.7732, 0.7732, 0.1838)
La (0.7732, 0.7732, 0.8162)
Sc (0.2428, 0.2428, 0.4005)
Sc (0.2428, 0.2428, 0.5995)
Sc (0.2572, 0.7428, 0.0995)
Sc (0.2572, 0.7428, 0.9005)
Sc (0.7428, 0.2572, 0.0995)
Sc (0.7428, 0.2572, 0.9005)
Sc (0.7572, 0.7572, 0.4005)
Sc (0.7572, 0.7572, 0.5995)
O (0.0000, 0.0000, 0.0946)
O (0.0000, 0.0000, 0.3741)
O (0.0000, 0.0000, 0.6259)
O (0.0000, 0.0000, 0.9054)
O (0.0000, 0.5000, 0.1103)
O (0.0000, 0.5000, 0.3897)
O (0.0000, 0.5000, 0.6103)
O (0.0000, 0.5000, 0.8897)
O (0.1926, 0.8074, 0.2085)
O (0.1926, 0.8074, 0.7915)
O (0.2167, 0.2167, 0.5000)
O (0.2833, 0.7167, 0.0000)
O (0.3074, 0.3074, 0.2915)
O (0.3074, 0.3074, 0.7085)
O (0.5000, 0.0000, 0.1103)
O (0.5000, 0.0000, 0.3897)
O (0.5000, 0.0000, 0.6103)
O (0.5000, 0.0000, 0.8897)
O (0.5000, 0.5000, 0.1259)
O (0.5000, 0.5000, 0.4054)
O (0.5000, 0.5000, 0.5946)
O (0.5000, 0.5000, 0.8741)
O (0.6926, 0.6926, 0.2915)
O (0.6926, 0.6926, 0.7085)
O (0.7167, 0.2833, 0.0000)
O (0.7833, 0.7833, 0.5000)
O (0.8074, 0.1926, 0.2085)
O (0.8074, 0.1926, 0.7915)

Record 4
Diffraction record for BaLaTaZnO6. The powder diffractogram is simulated, not measured: it uses a structure optimized by DFT (PBE) and Cu Kα (weighted mean of Kα1 and Kα2).

Most intense lines, 2θ = 10–90°, by angle:
2θ/deg  I/Imax
18.8  116
31.0  1000
36.5  61
44.4  295
48.6  26
55.1  401
58.8  24
64.6  182
67.9  24
73.3  174
81.7  61
89.9  216

a b c (Å): 5.7732 5.7732 5.7732
angles (deg): 60.00 60.00 60.00
Atoms (fractional coordinates):
Ba (0.0000, 0.0000, 0.0000)
La (0.5000, 0.5000, 0.5000)
Ta (0.2500, 0.2500, 0.2500)
Zn (0.7500, 0.7500, 0.7500)
O (0.0062, 0.0062, 0.4938)
O (0.0062, 0.4938, 0.0062)
O (0.0062, 0.4938, 0.4938)
O (0.4938, 0.0062, 0.0062)
O (0.4938, 0.0062, 0.4938)
O (0.4938, 0.4938, 0.0062)

Record 5
Diffraction record for BaLa2Ti3O10. The powder diffractogram is simulated, not measured: it uses a structure optimized by DFT (PBE) and Cu Kα (weighted mean of Kα1 and Kα2).

Most intense lines, 2θ = 10–90°, by angle:
2θ/deg  I/Imax
18.5  363
22.9  254
25.7  210
29.7  1000
31.6  710
32.6  740
39.4  594
46.3  326
46.9  305
53.1  468
56.0  327
57.7  267

a b c (Å): 14.4996 14.4996 7.7444
angles (deg): 90.00 90.00 164.46
Atoms (fractional coordinates):
Ba (0.2350, 0.7650, 0.7500)
Ba (0.7650, 0.2350, 0.2500)
La (0.0745, 0.9255, 0.7500)
La (0.0769, 0.9231, 0.2500)
La (0.9231, 0.0769, 0.7500)
La (0.9255, 0.0745, 0.2500)
Ti (0.3532, 0.6468, 0.0008)
Ti (0.3532, 0.6468, 0.4992)
Ti (0.5000, 0.5000, 0.0000)
Ti (0.5000, 0.5000, 0.5000)
Ti (0.6468, 0.3532, 0.5008)
Ti (0.6468, 0.3532, 0.9992)
O (0.0000, 0.0000, 0.0000)
O (0.0000, 0.0000, 0.5000)
O (0.1329, 0.8671, 0.5037)
O (0.1329, 0.8671, 0.9963)
O (0.2921, 0.7079, 0.0278)
O (0.2921, 0.7079, 0.4722)
O (0.3631, 0.6369, 0.7500)
O (0.3708, 0.6292, 0.2500)
O (0.4324, 0.5676, 0.5133)
O (0.4324, 0.5676, 0.9867)
O (0.4963, 0.5037, 0.2500)
O (0.5037, 0.4963, 0.7500)
O (0.5676, 0.4324, 0.0133)
O (0.5676, 0.4324, 0.4867)
O (0.6292, 0.3708, 0.7500)
O (0.6369, 0.3631, 0.2500)
O (0.7079, 0.2921, 0.5278)
O (0.7079, 0.2921, 0.9722)
O (0.8671, 0.1329, 0.0037)
O (0.8671, 0.1329, 0.4963)

Record 6
Diffraction record for BaLa2Ti3O10. The powder diffractogram is simulated, not measured: it uses a structure optimized by DFT (PBE) and Cu Kα (weighted mean of Kα1 and Kα2).

Most intense lines, 2θ = 10–90°, by angle:
2θ/deg  I/Imax
25.5  241
30.2  1000
32.0  889
32.6  864
39.8  801
45.9  392
46.0  268
47.0  333
54.5  436
55.9  312
58.0  360
67.8  356

a b c (Å): 13.9552 13.9552 7.7341
angles (deg): 90.00 90.00 163.71
Atoms (fractional coordinates):
Ba (0.0746, 0.9254, 0.7500)
Ba (0.9254, 0.0746, 0.2500)
La (0.0791, 0.9209, 0.2500)
La (0.2227, 0.7773, 0.7500)
La (0.7773, 0.2227, 0.2500)
La (0.9209, 0.0791, 0.7500)
Ti (0.3467, 0.6533, 0.5029)
Ti (0.3467, 0.6533, 0.9971)
Ti (0.5000, 0.5000, 0.0000)
Ti (0.5000, 0.5000, 0.5000)
Ti (0.6533, 0.3467, 0.0029)
Ti (0.6533, 0.3467, 0.4971)
O (0.0000, 0.0000, 0.0000)
O (0.0000, 0.0000, 0.5000)
O (0.1460, 0.8540, 0.0000)
O (0.1460, 0.8540, 0.5000)
O (0.2813, 0.7187, 0.0416)
O (0.2813, 0.7187, 0.4584)
O (0.3527, 0.6473, 0.7500)
O (0.3563, 0.6437, 0.2500)
O (0.4280, 0.5720, 0.5289)
O (0.4280, 0.5720, 0.9711)
O (0.4965, 0.5035, 0.2500)
O (0.5035, 0.4965, 0.7500)
O (0.5720, 0.4280, 0.0289)
O (0.5720, 0.4280, 0.4711)
O (0.6437, 0.3563, 0.7500)
O (0.6473, 0.3527, 0.2500)
O (0.7187, 0.2813, 0.5416)
O (0.7187, 0.2813, 0.9584)
O (0.8540, 0.1460, 0.0000)
O (0.8540, 0.1460, 0.5000)